Entry 1:
Calculated powder diffraction line list
Compound: DyGe2Pt2
Radiation: a wavelength of 1.5418 Å
Structure: a cell relaxed with PBE

Largest 12 diffraction maxima, in order of rising 2θ, 10° ≤ 2θ ≤ 80°:
2θ (°), d [Å], Rel. int., h k l
27.08, 3.293, 150, 1 0 2
31.41, 2.848, 209, 1 1 1
33.02, 2.713, 497, 1 0 3
34.68, 2.587, 1000, 1 1 2
43.30, 2.089, 611, 2 0 0
45.75, 1.983, 292, 1 1 4
47.75, 1.905, 300, 1 0 5
55.51, 1.655, 229, 2 1 3
60.65, 1.527, 94, 1 1 6
62.91, 1.477, 203, 2 2 0
66.42, 1.408, 224, 2 1 5
73.87, 1.283, 225, 3 1 2

Atomic structure:
Cell: 4.179 4.179 10.700 Å, 90.00 90.00 90.00°
Space group P4/nmm (No. 129, origin choice 2)
Asymmetric unit:
Dy (0.250, 0.250, 0.242)
Ge (0.250, 0.250, 0.862)
Ge (0.250, 0.750, 0.500)
Pt (0.250, 0.250, 0.635)
Pt (0.250, 0.750, 0.000)

***

Entry 2:
Calculated powder diffraction line list
Compound: DyGe2Pt2
Radiation: a wavelength of 1.5418 Å
Structure: a cell relaxed with PBE

Largest 12 diffraction maxima, in order of rising 2θ, 10° ≤ 2θ ≤ 80°:
2θ (°), d [Å], Rel. int., h k l
17.99, 4.930, 159, 0 0 2
34.14, 2.626, 1000, 1 1 2
36.45, 2.465, 88, 0 0 4
41.17, 2.193, 394, 2 0 0
47.09, 1.930, 156, 1 1 4
50.76, 1.799, 64, 1 0 5
54.48, 1.684, 101, 2 1 3
56.14, 1.638, 104, 2 0 4
59.63, 1.551, 133, 2 2 0
64.13, 1.452, 131, 1 1 6
70.54, 1.335, 224, 3 1 2
79.26, 1.209, 68, 3 1 4

Atomic structure:
Cell: 4.386 4.386 9.861 Å, 90.00 90.00 90.00°
Space group I4/mmm (No. 139)
Asymmetric unit:
Dy (0.000, 0.000, 0.000)
Ge (0.000, 0.000, 0.376)
Pt (0.000, 0.500, 0.250)